This entry pairs a crystal structure of HoPuAgS4 with its simulated XRD peak list. Radiation: Cu Kα, 1.54184 Å. Structure: the GGA-PBE geometry in Alexandria.
Lines closer than 0.1° are merged.

Cell and atoms:
```
data_HoPuAgS4
_cell_length_a 7.868
_cell_length_b 8.060
_cell_length_c 11.158
_cell_angle_alpha 90.00
_cell_angle_beta 90.00
_cell_angle_gamma 90.00
_symmetry_space_group_name_H-M 'I m m a'
_symmetry_Int_Tables_number 74
_symmetry_space_group_name_Hall '-I 2b 2'
loop_
_atom_site_label
_atom_site_type_symbol
_atom_site_fract_x
_atom_site_fract_y
_atom_site_fract_z
Ho1 Ho 0.250 0.250 0.250
Pu1 Pu 0.000 0.000 0.000
Ag1 Ag 0.000 0.250 0.631
S1 S 0.000 0.017 0.240
S2 S 0.230 0.250 0.005
```

The 10 most intense peaks (5 to 70 degrees two-theta), sorted by position:
2θ = 13.8°, rel. 66, hkl 1 0 1
2θ = 26.1°, rel. 100, hkl 1 2 1
2θ = 26.4°, rel. 89, hkl 2 1 1
2θ = 26.5°, rel. 52, hkl 1 0 3
2θ = 27.3°, rel. 34, hkl 0 2 2
2θ = 27.7°, rel. 29, hkl 2 0 2
2θ = 31.8°, rel. 56, hkl 2 2 0
2θ = 41.5°, rel. 29, hkl 2 3 1
2θ = 41.9°, rel. 35, hkl 3 2 1
2θ = 45.8°, rel. 94, hkl 2 2 4

This entry pairs a crystal structure of Mn7Ni6Pt16 with its simulated XRD peak list. Radiation: Cu Kα, 1.54184 Å. Structure: the GGA-PBE geometry in Alexandria.
Lines closer than 0.1° are merged.

Cell and atoms:
```
data_Mn7Ni6Pt16
_cell_length_a 12.137
_cell_length_b 12.137
_cell_length_c 12.137
_cell_angle_alpha 90.00
_cell_angle_beta 90.00
_cell_angle_gamma 90.00
_symmetry_space_group_name_H-M 'F m -3 m'
_symmetry_Int_Tables_number 225
_symmetry_space_group_name_Hall '-F 4 2 3'
loop_
_atom_site_label
_atom_site_type_symbol
_atom_site_fract_x
_atom_site_fract_y
_atom_site_fract_z
Mn1 Mn 0.000 0.000 0.000
Mn2 Mn 0.000 0.250 0.250
Ni1 Ni 0.000 0.000 0.350
Pt1 Pt 0.120 0.120 0.120
Pt2 Pt 0.153 0.153 0.347
```

The 10 most intense peaks (5 to 70 degrees two-theta), sorted by position:
2θ = 29.4°, rel. 81, hkl 4 0 0
2θ = 38.5°, rel. 48, hkl 3 3 3
2θ = 42.1°, rel. 100, hkl 4 4 0
2θ = 44.1°, rel. 29, hkl 5 3 1
2θ = 44.8°, rel. 16, hkl 6 0 0
2θ = 52.2°, rel. 22, hkl 4 4 4
2θ = 61.1°, rel. 13, hkl 8 0 0
2θ = 65.2°, rel. 9, hkl 6 6 0
2θ = 66.7°, rel. 8, hkl 5 5 5
2θ = 69.2°, rel. 10, hkl 8 4 0

This entry pairs a crystal structure of ZnRuN2 with its simulated XRD peak list. Radiation: Cu Kα, 1.54184 Å. Structure: the GGA-PBE geometry in Alexandria.
Lines closer than 0.1° are merged.

Cell and atoms:
```
data_ZnRuN2
_cell_length_a 5.700
_cell_length_b 6.438
_cell_length_c 5.373
_cell_angle_alpha 90.00
_cell_angle_beta 90.00
_cell_angle_gamma 90.00
_symmetry_space_group_name_H-M 'P n a 21'
_symmetry_Int_Tables_number 33
loop_
_symmetry_equiv_pos_as_xyz
'x,y,z'
'-x,-y,z+1/2'
'-x+1/2,y+1/2,z+1/2'
'x+1/2,-y+1/2,z'
loop_
_atom_site_label
_atom_site_type_symbol
_atom_site_fract_x
_atom_site_fract_y
_atom_site_fract_z
Zn1 Zn 0.082 0.118 0.000
Ru1 Ru 0.061 0.630 0.997
N1 N 0.083 0.622 0.358
N2 N 0.114 0.131 0.383
```

The 10 most intense peaks (5 to 70 degrees two-theta), sorted by position:
2θ = 31.4°, rel. 26, hkl 2 0 0
2θ = 31.9°, rel. 28, hkl 1 2 0
2θ = 33.4°, rel. 47, hkl 0 0 2
2θ = 35.7°, rel. 35, hkl 2 0 1
2θ = 36.1°, rel. 100, hkl 1 2 1
2θ = 46.5°, rel. 14, hkl 2 0 2
2θ = 56.2°, rel. 22, hkl 3 2 0
2θ = 57.2°, rel. 13, hkl 0 4 0
2θ = 61.4°, rel. 29, hkl 1 2 3
2θ = 67.0°, rel. 21, hkl 3 2 2

This entry pairs a crystal structure of BaNaCeI6 with its simulated XRD peak list. Radiation: Cu Kα, 1.54184 Å. Structure: the GGA-PBE geometry in Alexandria.
Lines closer than 0.1° are merged.

Cell and atoms:
```
data_BaNaCeI6
_cell_length_a 8.1648
_cell_length_b 8.1648
_cell_length_c 15.0803
_cell_angle_alpha 90.00
_cell_angle_beta 90.00
_cell_angle_gamma 120.00
_symmetry_space_group_name_H-M 'P -3 1 c'
_symmetry_Int_Tables_number 163
_symmetry_space_group_name_Hall '-P 3 2c'
loop_
_atom_site_label
_atom_site_type_symbol
_atom_site_fract_x
_atom_site_fract_y
_atom_site_fract_z
Ba1 Ba 0.0000 0.0000 0.0000
Na1 Na 0.3333 0.6667 0.2500
Ce1 Ce 0.3333 0.6667 0.7500
I1 I 0.0081 0.3584 0.6301
```

The 10 most intense peaks (5 to 70 degrees two-theta), sorted by position:
2θ = 17.2°, rel. 28, hkl 1 0 2
2θ = 24.8°, rel. 100, hkl 1 1 2
2θ = 32.3°, rel. 56, hkl 1 1 4
2θ = 35.6°, rel. 13, hkl 2 1 2
2θ = 38.2°, rel. 42, hkl 3 0 0
2θ = 42.2°, rel. 24, hkl 2 -1 6
2θ = 46.1°, rel. 16, hkl 4 -2 2
2θ = 50.9°, rel. 14, hkl 4 -2 4
2θ = 63.2°, rel. 17, hkl 3 0 8
2θ = 65.3°, rel. 13, hkl 4 1 4

This entry pairs a crystal structure of AcPm3Tl4 with its simulated XRD peak list. Radiation: Cu Kα, 1.54184 Å. Structure: the GGA-PBE geometry in Alexandria.
Lines closer than 0.1° are merged.

Cell and atoms:
```
data_AcPm3Tl4
_cell_length_a 11.210
_cell_length_b 7.841
_cell_length_c 5.607
_cell_angle_alpha 90.00
_cell_angle_beta 90.00
_cell_angle_gamma 90.00
_symmetry_space_group_name_H-M 'P m m a'
_symmetry_Int_Tables_number 51
loop_
_symmetry_equiv_pos_as_xyz
'x,y,z'
'-x,-y,-z'
'-x+1/2,-y,z'
'x+1/2,y,-z'
'x+1/2,-y,-z'
'-x+1/2,y,z'
'-x,y,-z'
'x,-y,z'
loop_
_atom_site_label
_atom_site_type_symbol
_atom_site_fract_x
_atom_site_fract_y
_atom_site_fract_z
Ac1 Ac 0.000 0.000 0.000
Pm1 Pm 0.000 0.500 0.000
Pm2 Pm 0.250 0.000 0.499
Pm3 Pm 0.250 0.500 0.499
Tl1 Tl 0.000 0.262 0.500
Tl2 Tl 0.250 0.262 0.999
```

The 10 most intense peaks (5 to 70 degrees two-theta), sorted by position:
2θ = 25.2°, rel. 2, hkl 2 1 1
2θ = 31.9°, rel. 51, hkl 4 0 0
2θ = 32.1°, rel. 100, hkl 2 2 1
2θ = 45.8°, rel. 19, hkl 4 0 2
2θ = 46.3°, rel. 9, hkl 0 4 0
2θ = 47.6°, rel. 1, hkl 4 3 0
2θ = 57.0°, rel. 40, hkl 6 2 1
2θ = 57.4°, rel. 19, hkl 4 4 0
2θ = 66.7°, rel. 6, hkl 8 0 0
2θ = 67.2°, rel. 12, hkl 4 4 2

This entry pairs a crystal structure of LiAcBr4 with its simulated XRD peak list. Radiation: Cu Kα, 1.54184 Å. Structure: the GGA-PBE geometry in Alexandria.
Lines closer than 0.1° are merged.

Cell and atoms:
```
data_LiAcBr4
_cell_length_a 7.488
_cell_length_b 7.336
_cell_length_c 7.324
_cell_angle_alpha 90.00
_cell_angle_beta 104.60
_cell_angle_gamma 90.00
_symmetry_space_group_name_H-M 'C 1 m 1'
_symmetry_Int_Tables_number 8
loop_
_symmetry_equiv_pos_as_xyz
'x,y,z'
'x,-y,z'
'x+1/2,y+1/2,z'
'x+1/2,-y+1/2,z'
loop_
_atom_site_label
_atom_site_type_symbol
_atom_site_fract_x
_atom_site_fract_y
_atom_site_fract_z
Li1 Li 0.000 0.000 0.000
Ac1 Ac 0.005 0.500 0.496
Br1 Br 0.190 0.247 0.239
Br2 Br 0.320 0.253 0.752
```

The 10 most intense peaks (5 to 70 degrees two-theta), sorted by position:
2θ = 12.5°, rel. 56, hkl 0 0 1
2θ = 17.2°, rel. 62, hkl 1 1 0
2θ = 19.4°, rel. 57, hkl 1 1 -1
2θ = 23.1°, rel. 34, hkl 1 1 1
2θ = 27.4°, rel. 24, hkl 0 2 1
2θ = 30.4°, rel. 39, hkl 2 0 1
2θ = 30.5°, rel. 39, hkl 2 0 -2
2θ = 34.8°, rel. 100, hkl 2 2 0
2θ = 35.2°, rel. 74, hkl 0 2 2
2θ = 59.4°, rel. 23, hkl 2 4 -2